For MgFeSe, a DFT-relaxed cell (GGA-PBE, Alexandria) gives the theoretical powder X-ray diffraction pattern in this record (Cu Kα (weighted mean of Kα1 and Kα2)).
Kinematic intensities with the Lorentz-polarization factor, no thermal factor.

Peak list (12 most intense, 10 to 80 degrees two-theta, sorted by position)
18.71°, rel. 55, hkl 0 0 2; 29.12°, rel. 10, hkl 1 0 1; 39.32°, rel. 66, hkl 1 1 0; 39.83°, rel. 100, hkl 1 0 3; 43.88°, rel. 23, hkl 1 1 2; 55.79°, rel. 5, hkl 1 1 4; 56.19°, rel. 20, hkl 1 0 5; 56.81°, rel. 21, hkl 2 0 0; 60.36°, rel. 9, hkl 2 0 2; 71.62°, rel. 33, hkl 2 1 3; 72.67°, rel. 7, hkl 1 1 6; 76.16°, rel. 9, hkl 1 0 7

```
data_MgFeSe
_space_group_name_H-M_alt 'I 4 m m'
_space_group_IT_number 107
_space_group_name_Hall 'I 4 -2'
_cell_length_a 3.2409
_cell_length_b 3.2409
_cell_length_c 9.4836
_cell_angle_alpha 90.00
_cell_angle_beta 90.00
_cell_angle_gamma 90.00
loop_
_atom_site_label
_atom_site_type_symbol
_atom_site_fract_x
_atom_site_fract_y
_atom_site_fract_z
_atom_site_occupancy
Mg1 Mg 0.0000 0.0000 0.0000 1
Fe1 Fe 0.0000 0.0000 0.6875 1
Se1 Se 0.0000 0.0000 0.2987 1
```

For K2Zn12Au7, a DFT-relaxed cell (GGA-PBE, Alexandria) gives the theoretical powder X-ray diffraction pattern in this record (Cu Kα (weighted mean of Kα1 and Kα2)).
Kinematic intensities with the Lorentz-polarization factor, no thermal factor.

Peak list (12 most intense, 10 to 80 degrees two-theta, sorted by position)
10.01°, rel. 41, hkl 1 0 0; 17.39°, rel. 26, hkl 1 1 0; 22.42°, rel. 35, hkl 1 0 1; 26.68°, rel. 95, hkl 2 1 0; 28.51°, rel. 36, hkl 2 0 1; 33.59°, rel. 47, hkl 1 2 1; 36.66°, rel. 32, hkl 3 1 0; 40.67°, rel. 53, hkl 0 0 2; 40.82°, rel. 87, hkl 2 2 1; 42.13°, rel. 100, hkl 3 1 1; 49.32°, rel. 26, hkl 2 1 2; 49.44°, rel. 31, hkl 3 2 1

```
data_K2Zn12Au7
_space_group_name_H-M_alt 'P -6'
_space_group_IT_number 174
_space_group_name_Hall 'P -6'
_cell_length_a 10.2013
_cell_length_b 10.2013
_cell_length_c 4.4368
_cell_angle_alpha 90.00
_cell_angle_beta 90.00
_cell_angle_gamma 120.00
loop_
_atom_site_label
_atom_site_type_symbol
_atom_site_fract_x
_atom_site_fract_y
_atom_site_fract_z
_atom_site_occupancy
K1 K 0.0000 0.0000 0.0000 1
K2 K 0.3333 0.6667 0.5000 1
Zn1 Zn 0.0122 0.2878 0.5000 1
Zn2 Zn 0.1515 0.7659 0.0000 1
Zn3 Zn 0.3726 0.2129 0.0000 1
Zn4 Zn 0.5589 0.4144 0.5000 1
Au1 Au 0.0178 0.4525 0.0000 1
Au2 Au 0.2533 0.2500 0.5000 1
Au3 Au 0.6667 0.3333 0.0000 1
```